[1]
SrAu2S4O16: computed powder X-ray diffraction pattern (Cu Kα (weighted mean of Kα1 and Kα2)), based on a PBE-relaxed structure.

Structural model:
abc: 9.9535 15.9661 10.6504
angles: 90.00 114.61 90.00
Space group C2/c (No. 15)
Symmetry-distinct sites (fractional):
1 Sr 0.0000 0.1297 0.2500
2 Au 0.0000 0.5000 0.0000
3 Au 0.2500 0.2500 0.0000
4 S 0.0694 0.3050 0.5381
5 S 0.2043 0.0567 0.9994
6 O 0.0143 0.3807 0.4393
7 O 0.0375 0.2884 0.8937
8 O 0.0649 0.2365 0.4467
9 O 0.1314 0.4613 0.9066
10 O 0.1350 0.0713 0.0925
11 O 0.1464 0.0097 0.3979
12 O 0.1952 0.1352 0.9108
13 O 0.2094 0.3224 0.6536

Main lines, sorted by position (2θ from 10° to 80°):
2θ = 11.24°, rel. 40, hkl 1 1 0
2θ = 11.64°, rel. 45, hkl 1 1 -1
2θ = 16.89°, rel. 46, hkl 1 1 1
2θ = 17.69°, rel. 58, hkl 1 1 -2
2θ = 18.32°, rel. 100, hkl 0 0 2
2θ = 28.99°, rel. 58, hkl 0 4 2

***

[2]
Mg3SiO6: computed powder X-ray diffraction pattern (Cu Kα (weighted mean of Kα1 and Kα2)), based on a PBE-relaxed structure.

Structural model:
abc: 10.4643 8.9659 4.8026
angles: 90.00 90.00 90.00
Space group Pnma (No. 62)
Symmetry-distinct sites (fractional):
1 Mg 0.0939 0.2500 0.0005
2 Mg 0.1342 0.5703 0.4878
3 Si 0.2201 0.7500 0.9242
4 O 0.0358 0.0847 0.7318
5 O 0.0762 0.7500 0.7767
6 O 0.2081 0.1055 0.2742
7 O 0.2214 0.7500 0.2626

Main lines, sorted by position (2θ from 10° to 80°):
2θ = 28.54°, rel. 100, hkl 1 2 1
2θ = 33.28°, rel. 76, hkl 3 1 1
2θ = 39.21°, rel. 37, hkl 4 0 1
2θ = 39.47°, rel. 64, hkl 2 3 1
2θ = 51.87°, rel. 79, hkl 2 3 2
2θ = 61.57°, rel. 42, hkl 6 3 0

***

[3]
MgTi2O4: computed powder X-ray diffraction pattern (Cu Kα (weighted mean of Kα1 and Kα2)), based on a PBE-relaxed structure.

Structural model:
abc: 5.9795 5.9795 15.0325
angles: 90.00 90.00 120.00
Space group P3m1 (No. 156)
Symmetry-distinct sites (fractional):
1 Mg 0.0000 0.0000 0.0000
2 Mg 0.0000 0.0000 0.2527
3 Mg 0.0000 0.0000 0.6278
4 Mg 0.3333 0.6667 0.5841
5 Mg 0.6667 0.3333 0.2902
6 Mg 0.6667 0.3333 0.9302
7 Ti 0.0113 0.5056 0.1281
8 Ti 0.1788 0.3575 0.8004
9 Ti 0.3333 0.6667 0.3405
10 Ti 0.3333 0.6667 0.9508
11 Ti 0.3444 0.1722 0.4634
12 Ti 0.6667 0.3333 0.6788
13 O 0.0000 0.0000 0.3871
14 O 0.0000 0.0000 0.8669
15 O 0.0050 0.5025 0.8783
16 O 0.1553 0.3106 0.5377
17 O 0.1798 0.3595 0.0460
18 O 0.3189 0.1594 0.7158
19 O 0.3333 0.6667 0.2139
20 O 0.3333 0.6667 0.7149
21 O 0.3560 0.1780 0.2037
22 O 0.5071 0.0142 0.3790
23 O 0.6667 0.3333 0.0587
24 O 0.6667 0.3333 0.5529

Main lines, sorted by position (2θ from 10° to 80°):
2θ = 34.50°, rel. 50, hkl 1 0 5
2θ = 34.95°, rel. 100, hkl 1 1 3
2θ = 35.17°, rel. 74, hkl 2 0 1
2θ = 42.39°, rel. 99, hkl 2 0 4
2θ = 60.92°, rel. 65, hkl 0 2 8
2θ = 62.09°, rel. 64, hkl 2 2 0

***

[4]
Sm3Ho: computed powder X-ray diffraction pattern (Cu Kα (weighted mean of Kα1 and Kα2)), based on a PBE-relaxed structure.

Structural model:
abc: 5.0939 5.0939 5.0939
angles: 90.00 90.00 90.00
Space group Pm-3m (No. 221)
Symmetry-distinct sites (fractional):
1 Sm 0.0000 0.0000 0.5000
2 Ho 0.5000 0.5000 0.5000

Main lines, sorted by position (2θ from 10° to 80°):
2θ = 30.39°, rel. 100, hkl 1 1 1
2θ = 35.24°, rel. 51, hkl 2 0 0
2θ = 50.69°, rel. 36, hkl 2 2 0
2θ = 60.26°, rel. 43, hkl 3 1 1
2θ = 63.24°, rel. 12, hkl 2 2 2
2θ = 74.51°, rel. 6, hkl 4 0 0

***

[5]
NdF3: computed powder X-ray diffraction pattern (Cu Kα (weighted mean of Kα1 and Kα2)), based on a PBE-relaxed structure.

Structural model:
abc: 7.0882 7.0882 7.2767
angles: 90.00 90.00 120.00
Space group P-3c1 (No. 165)
Symmetry-distinct sites (fractional):
1 Nd 0.0000 0.3442 0.2500
2 F 0.0000 0.0000 0.2500
3 F 0.0634 0.3722 0.5801
4 F 0.3333 0.6667 0.3168

Main lines, sorted by position (2θ from 10° to 80°):
2θ = 24.47°, rel. 38, hkl 0 0 2
2θ = 25.13°, rel. 26, hkl 1 1 0
2θ = 28.00°, rel. 100, hkl 1 1 1
2θ = 44.27°, rel. 42, hkl 3 0 0
2θ = 45.30°, rel. 53, hkl 1 1 3
2θ = 51.22°, rel. 33, hkl 0 3 2

***

[6]
Co3Sn: computed powder X-ray diffraction pattern (Cu Kα (weighted mean of Kα1 and Kα2)), based on a PBE-relaxed structure.

Structural model:
abc: 4.2957 4.3033 5.7143
angles: 90.00 90.00 90.00
Space group Cmmm (No. 65)
Symmetry-distinct sites (fractional):
1 Co 0.0000 0.0000 0.0000
2 Co 0.0000 0.5000 0.2219
3 Sn 0.0000 0.0000 0.5000

Main lines, sorted by position (2θ from 10° to 80°):
2θ = 33.38°, rel. 15, hkl 1 1 1
2θ = 42.03°, rel. 58, hkl 2 0 0
2θ = 43.46°, rel. 100, hkl 1 1 2
2θ = 60.95°, rel. 19, hkl 2 2 0
2θ = 77.74°, rel. 17, hkl 1 3 2
2θ = 77.85°, rel. 17, hkl 3 1 2